Record 1
Simulated XRD peak list of BaNpGe2O8 for Cu Ka, from a cell relaxed with PBE.
Lines closer than 0.1° are merged.

Top 10 peaks for 15° ≤ 2θ ≤ 90°, in order of falling intensity:
| Position (°2θ) | Rel. int. |
| --- | --- |
| 24.23 | 100 |
| 35.31 | 35 |
| 33.75 | 33 |
| 54.91 | 21 |
| 43.29 | 19 |
| 57.05 | 18 |
| 21.26 | 16 |
| 49.65 | 13 |
| 62.39 | 12 |
| 40.91 | 12 |

Structural model:
Unit cell a=5.0835 b=5.0835 c=26.6408 alpha=90.00 beta=90.00 gamma=120.00
Space group R32 (No. 155, hexagonal axes)
Inequivalent atoms, fractional coordinates:
Ba 0.0000 0.0000 0.0000
Np 0.0000 0.0000 0.5000
Ge 0.0000 0.0000 0.2437
O 0.0000 0.0000 0.3081
O 0.0058 0.3668 0.1157

---

Record 2
Simulated XRD peak list of Ac4Sn5Au3 for Cu Ka, from a cell relaxed with PBE.
Lines closer than 0.1° are merged.

Top 10 peaks for 15° ≤ 2θ ≤ 90°, in order of falling intensity:
| Position (°2θ) | Rel. int. |
| --- | --- |
| 33.90 | 100 |
| 35.12 | 90 |
| 24.34 | 82 |
| 25.30 | 59 |
| 29.19 | 51 |
| 30.84 | 36 |
| 49.60 | 35 |
| 38.75 | 27 |
| 24.99 | 26 |
| 50.52 | 20 |

Structural model:
Unit cell a=15.8115 b=5.1106 c=10.7188 alpha=90.00 beta=112.68 gamma=90.00
Space group C2/m (No. 12)
Inequivalent atoms, fractional coordinates:
Ac 0.0465 0.0000 0.3261
Ac 0.2420 0.0000 0.8107
Sn 0.0000 0.5000 0.0000
Sn 0.0880 0.5000 0.6141
Sn 0.2056 0.5000 0.4702
Au 0.0000 0.0000 0.0000
Au 0.1357 0.5000 0.8881

---

Record 3
Simulated XRD peak list of NdCd4Au4 for Cu Ka, from a cell relaxed with PBE.
Lines closer than 0.1° are merged.

Top 10 peaks for 15° ≤ 2θ ≤ 90°, in order of falling intensity:
| Position (°2θ) | Rel. int. |
| --- | --- |
| 39.46 | 100 |
| 29.05 | 56 |
| 32.23 | 55 |
| 39.29 | 46 |
| 71.34 | 30 |
| 43.71 | 24 |
| 56.78 | 23 |
| 39.88 | 22 |
| 71.67 | 18 |
| 64.64 | 15 |

Structural model:
Unit cell a=6.4855 b=6.4855 c=9.6470 alpha=90.00 beta=90.00 gamma=90.00
Space group P4_2/nmc (No. 137, origin choice 2)
Inequivalent atoms, fractional coordinates:
Nd 0.2500 0.7500 0.2500
Cd 0.0269 0.2500 0.1714
Au 0.0174 0.2500 0.4718

---

Record 4
Simulated XRD peak list of Nd3Al3Zn2 for Cu Ka, from a cell relaxed with PBE.
Lines closer than 0.1° are merged.

Top 10 peaks for 15° ≤ 2θ ≤ 90°, in order of falling intensity:
| Position (°2θ) | Rel. int. |
| --- | --- |
| 34.50 | 100 |
| 34.73 | 97 |
| 20.52 | 70 |
| 36.78 | 48 |
| 40.25 | 37 |
| 24.34 | 32 |
| 24.11 | 29 |
| 55.65 | 29 |
| 42.47 | 22 |
| 64.64 | 17 |

Structural model:
Unit cell a=17.3728 b=4.4815 c=4.8873 alpha=90.00 beta=105.79 gamma=90.00
Space group C2/m (No. 12)
Inequivalent atoms, fractional coordinates:
Nd 0.0000 0.0000 0.0000
Nd 0.1448 0.0000 0.6403
Al 0.0000 0.5000 0.5000
Al 0.1451 0.5000 0.1427
Zn 0.2400 0.0000 0.2326